[1]
Starting from a PBE-relaxed structure, the powder diffraction line list of CoTe3 was computed for CuKα.
Neutral-atom scattering factors, no anomalous dispersion.

Structural model:
Lattice parameters (Å, degrees): 6.4635 6.4635 6.4635 147.53 60.78 130.13
Fractional coordinates of all 4 atoms:
Co1 0.0000 0.0000 0.0000
Te1 0.0081 0.6536 0.3546
Te2 0.2990 0.6536 0.6454
Te3 0.6669 0.1669 0.5000

Most intense lines, 2θ = 5–70°, most intense first:
29.08°, rel. 100
44.27°, rel. 86
33.82°, rel. 66
42.32°, rel. 64
25.92°, rel. 58
32.87°, rel. 43
59.34°, rel. 35
15.90°, rel. 32



[2]
Starting from a PBE-relaxed structure, the powder diffraction line list of CoTe3 was computed for CuKα.
Neutral-atom scattering factors, no anomalous dispersion.

Structural model:
Lattice parameters (Å, degrees): 3.1289 3.1565 11.1773 90.00 90.00 90.00
Fractional coordinates of all 4 atoms:
Co1 0.0000 0.0000 0.0000
Te1 0.0000 0.5000 0.4756
Te2 0.5000 0.0000 0.8137
Te3 0.5000 0.5000 0.1208

Most intense lines, 2θ = 5–70°, most intense first:
23.88°, rel. 100
29.40°, rel. 83
41.43°, rel. 79
7.91°, rel. 78
32.80°, rel. 66
43.42°, rel. 53
43.84°, rel. 51
29.65°, rel. 49